Li4Mn3FeB4O12: computed PXRD pattern (Cu Kα X-rays), based on the GGA+U geometry in Alexandria.
Lines closer than 0.1° are merged.

Largest 10 diffraction maxima, sorted by position, 2θ from 15° to 90°:
d (Å)  I (rel.)  hkl
4.538  35  1 -1 0
4.162  21  -1 1 1
4.122  33  1 0 1
3.490  13  0 1 -2
3.381  16  1 0 2
2.620  100  0 0 4
2.237  15  0 2 -1
2.216  13  -2 2 1
1.880  15  0 1 5
1.704  12  1 -3 1

Structural model:
Unit cell a=5.234 b=5.247 c=10.479 alpha=91.22 beta=90.77 gamma=119.87
Space group P1 (No. 1)
One atom of each set of equivalent atoms:
Li (0.000, 0.000, 0.000) (multiplicity 1)
Li (0.015, 0.986, 0.503) (multiplicity 1)
Li (0.672, 0.685, 0.752) (multiplicity 1)
Li (0.696, 0.656, 0.253) (multiplicity 1)
Mn (0.023, 0.331, 0.288) (multiplicity 1)
Mn (0.346, 0.668, 0.037) (multiplicity 1)
Mn (0.350, 0.016, 0.784) (multiplicity 1)
Fe (0.676, 0.336, 0.536) (multiplicity 1)
B (0.009, 0.341, 0.792) (multiplicity 1)
B (0.345, 0.666, 0.544) (multiplicity 1)
B (0.350, 0.994, 0.296) (multiplicity 1)
B (0.684, 0.333, 0.043) (multiplicity 1)
O (0.073, 0.962, 0.311) (multiplicity 1)
O (0.097, 0.403, 0.504) (multiplicity 1)
O (0.281, 0.592, 0.824) (multiplicity 1)
O (0.323, 0.916, 0.574) (multiplicity 1)
O (0.381, 0.757, 0.252) (multiplicity 1)
O (0.419, 0.091, 0.999) (multiplicity 1)
O (0.600, 0.266, 0.326) (multiplicity 1)
O (0.618, 0.685, 0.557) (multiplicity 1)
O (0.709, 0.608, 0.059) (multiplicity 1)
O (0.773, 0.372, 0.751) (multiplicity 1)
O (0.926, 0.299, 0.075) (multiplicity 1)
O (0.979, 0.065, 0.807) (multiplicity 1)

***

Li8MnFe7B8O24: computed PXRD pattern (Cu Kα X-rays), based on the GGA+U geometry in Alexandria.
Lines closer than 0.1° are merged.

Largest 10 diffraction maxima, sorted by position, 2θ from 15° to 90°:
d (Å)  I (rel.)  hkl
4.334  88  0 2 0
4.273  28  1 1 -1
3.980  32  0 1 -2
3.936  66  -1 1 1
2.637  100  2 0 2
2.626  31  1 0 -3
2.609  25  0 3 2
2.569  29  1 3 -1
2.237  24  1 2 -3
2.198  53  0 2 4

Structural model:
Unit cell a=5.960 b=8.933 c=9.727 alpha=81.43 beta=80.24 gamma=77.69
Space group P1 (No. 1)
One atom of each set of equivalent atoms:
Li (0.000, 0.000, 0.000) (multiplicity 1)
Li (0.054, 0.065, 0.588) (multiplicity 1)
Li (0.253, 0.499, 0.750) (multiplicity 1)
Li (0.310, 0.565, 0.339) (multiplicity 1)
Li (0.501, 0.003, 0.501) (multiplicity 1)
Li (0.559, 0.064, 0.090) (multiplicity 1)
Li (0.751, 0.500, 0.247) (multiplicity 1)
Li (0.809, 0.565, 0.839) (multiplicity 1)
Mn (0.561, 0.332, 0.526) (multiplicity 1)
Fe (0.064, 0.323, 0.027) (multiplicity 1)
Fe (0.252, 0.241, 0.317) (multiplicity 1)
Fe (0.313, 0.822, 0.771) (multiplicity 1)
Fe (0.494, 0.742, 0.064) (multiplicity 1)
Fe (0.744, 0.240, 0.818) (multiplicity 1)
Fe (0.812, 0.823, 0.272) (multiplicity 1)
Fe (0.995, 0.742, 0.563) (multiplicity 1)
B (0.013, 0.399, 0.573) (multiplicity 1)
B (0.048, 0.666, 0.016) (multiplicity 1)
B (0.261, 0.898, 0.321) (multiplicity 1)
B (0.293, 0.165, 0.769) (multiplicity 1)
B (0.510, 0.399, 0.071) (multiplicity 1)
B (0.550, 0.669, 0.515) (multiplicity 1)
B (0.761, 0.897, 0.821) (multiplicity 1)
B (0.798, 0.167, 0.268) (multiplicity 1)
O (0.095, 0.547, 0.934) (multiplicity 1)
O (0.116, 0.173, 0.883) (multiplicity 1)
O (0.141, 0.775, 0.357) (multiplicity 1)
O (0.167, 0.789, 0.980) (multiplicity 1)
O (0.196, 0.391, 0.461) (multiplicity 1)
O (0.215, 0.017, 0.404) (multiplicity 1)
O (0.337, 0.047, 0.687) (multiplicity 1)
O (0.378, 0.668, 0.632) (multiplicity 1)
O (0.393, 0.274, 0.108) (multiplicity 1)
O (0.418, 0.285, 0.735) (multiplicity 1)
O (0.435, 0.893, 0.205) (multiplicity 1)
O (0.463, 0.517, 0.154) (multiplicity 1)
O (0.598, 0.552, 0.430) (multiplicity 1)
O (0.623, 0.173, 0.383) (multiplicity 1)
O (0.641, 0.774, 0.857) (multiplicity 1)
O (0.667, 0.793, 0.481) (multiplicity 1)
O (0.682, 0.396, 0.954) (multiplicity 1)
O (0.715, 0.016, 0.904) (multiplicity 1)
O (0.844, 0.048, 0.186) (multiplicity 1)
O (0.875, 0.670, 0.132) (multiplicity 1)
O (0.886, 0.279, 0.605) (multiplicity 1)
O (0.921, 0.289, 0.232) (multiplicity 1)
O (0.934, 0.893, 0.705) (multiplicity 1)
O (0.966, 0.518, 0.654) (multiplicity 1)

***

Li8Mn7FeB8O24: computed PXRD pattern (Cu Kα X-rays), based on the GGA+U geometry in Alexandria.
Lines closer than 0.1° are merged.

Largest 10 diffraction maxima, sorted by position, 2θ from 15° to 90°:
d (Å)  I (rel.)  hkl
4.370  62  0 2 0
4.295  19  1 1 -1
4.025  29  0 1 -2
3.931  49  -1 1 1
2.640  100  2 0 2
2.626  24  0 3 2
2.596  19  1 3 -1
2.259  22  1 2 -3
2.221  18  1 4 1
2.214  29  0 2 4

Structural model:
Unit cell a=5.951 b=9.016 c=9.821 alpha=81.61 beta=80.09 gamma=77.33
Space group P1 (No. 1)
One atom of each set of equivalent atoms:
Li (0.000, 0.000, 0.000) (multiplicity 1)
Li (0.047, 0.068, 0.585) (multiplicity 1)
Li (0.248, 0.500, 0.748) (multiplicity 1)
Li (0.303, 0.568, 0.336) (multiplicity 1)
Li (0.497, 0.002, 0.498) (multiplicity 1)
Li (0.549, 0.068, 0.086) (multiplicity 1)
Li (0.743, 0.503, 0.245) (multiplicity 1)
Li (0.799, 0.569, 0.838) (multiplicity 1)
Mn (0.054, 0.332, 0.019) (multiplicity 1)
Mn (0.244, 0.237, 0.314) (multiplicity 1)
Mn (0.306, 0.830, 0.772) (multiplicity 1)
Mn (0.549, 0.336, 0.522) (multiplicity 1)
Mn (0.741, 0.238, 0.813) (multiplicity 1)
Mn (0.799, 0.832, 0.269) (multiplicity 1)
Mn (0.993, 0.737, 0.564) (multiplicity 1)
Fe (0.494, 0.736, 0.063) (multiplicity 1)
B (0.008, 0.400, 0.570) (multiplicity 1)
B (0.039, 0.669, 0.014) (multiplicity 1)
B (0.256, 0.899, 0.318) (multiplicity 1)
B (0.288, 0.167, 0.764) (multiplicity 1)
B (0.507, 0.402, 0.068) (multiplicity 1)
B (0.540, 0.669, 0.514) (multiplicity 1)
B (0.758, 0.900, 0.822) (multiplicity 1)
B (0.789, 0.170, 0.265) (multiplicity 1)
O (0.090, 0.555, 0.928) (multiplicity 1)
O (0.113, 0.170, 0.878) (multiplicity 1)
O (0.134, 0.778, 0.350) (multiplicity 1)
O (0.169, 0.786, 0.989) (multiplicity 1)
O (0.194, 0.396, 0.461) (multiplicity 1)
O (0.210, 0.014, 0.403) (multiplicity 1)
O (0.336, 0.052, 0.679) (multiplicity 1)
O (0.365, 0.668, 0.629) (multiplicity 1)
O (0.387, 0.281, 0.101) (multiplicity 1)
O (0.409, 0.288, 0.732) (multiplicity 1)
O (0.431, 0.896, 0.203) (multiplicity 1)
O (0.455, 0.519, 0.153) (multiplicity 1)
O (0.591, 0.555, 0.427) (multiplicity 1)
O (0.614, 0.171, 0.379) (multiplicity 1)
O (0.636, 0.780, 0.855) (multiplicity 1)
O (0.659, 0.790, 0.484) (multiplicity 1)
O (0.683, 0.400, 0.955) (multiplicity 1)
O (0.710, 0.016, 0.906) (multiplicity 1)
O (0.837, 0.054, 0.179) (multiplicity 1)
O (0.851, 0.675, 0.122) (multiplicity 1)
O (0.880, 0.282, 0.596) (multiplicity 1)
O (0.910, 0.291, 0.232) (multiplicity 1)
O (0.933, 0.897, 0.708) (multiplicity 1)
O (0.957, 0.515, 0.656) (multiplicity 1)